[1]
Simulated XRD peak list of TbPm6Tm2 for Cu Ka, from the GGA-PBE geometry in Alexandria.
Neutral-atom scattering factors, no anomalous dispersion.

Atomic structure:
a b c (Å): 9.023 9.023 9.122
angles (deg): 116.13 116.13 82.24
Element x y z (fractional)
Tb (0.169, 0.831, 0.750)
Tb (0.831, 0.169, 0.250)
Pm (0.027, 0.197, 0.699)
Pm (0.047, 0.382, 0.141)
Pm (0.197, 0.027, 0.199)
Pm (0.348, 0.609, 0.052)
Pm (0.382, 0.047, 0.641)
Pm (0.391, 0.652, 0.448)
Pm (0.609, 0.348, 0.552)
Pm (0.618, 0.953, 0.359)
Pm (0.652, 0.391, 0.948)
Pm (0.803, 0.973, 0.801)
Pm (0.953, 0.618, 0.859)
Pm (0.973, 0.803, 0.301)
Tm (0.223, 0.418, 0.584)
Tm (0.418, 0.223, 0.084)
Tm (0.582, 0.777, 0.916)
Tm (0.777, 0.582, 0.416)

Principal peaks in the range 2θ from 10° to 90°, sorted by position:
30.1 deg, I = 26
30.5 deg, I = 100
31.1 deg, I = 74
32.5 deg, I = 25
37.5 deg, I = 39
56.3 deg, I = 18

[2]
Simulated XRD peak list of Y4O for Cu Ka, from the GGA-PBE geometry in Alexandria.
Neutral-atom scattering factors, no anomalous dispersion.

Atomic structure:
a b c (Å): 6.422 6.422 10.420
angles (deg): 114.19 114.19 48.23
Element x y z (fractional)
Y (0.111, 0.129, 0.188)
Y (0.129, 0.111, 0.688)
Y (0.375, 0.382, 0.566)
Y (0.382, 0.375, 0.066)
Y (0.618, 0.625, 0.934)
Y (0.625, 0.618, 0.434)
Y (0.871, 0.889, 0.312)
Y (0.889, 0.871, 0.812)
O (0.253, 0.747, 0.750)
O (0.747, 0.253, 0.250)

Principal peaks in the range 2θ from 10° to 90°, sorted by position:
29.5 deg, I = 100
29.6 deg, I = 99
34.2 deg, I = 61
34.4 deg, I = 30
49.2 deg, I = 37
58.4 deg, I = 40

[3]
Simulated XRD peak list of Er4ZnRh for Cu Ka, from the GGA-PBE geometry in Alexandria.
Neutral-atom scattering factors, no anomalous dispersion.

Atomic structure:
a b c (Å): 9.385 9.385 9.385
angles (deg): 60.00 60.00 60.00
Element x y z (fractional)
Er (0.186, 0.186, 0.814)
Er (0.186, 0.814, 0.186)
Er (0.186, 0.814, 0.814)
Er (0.395, 0.395, 0.395)
Er (0.395, 0.395, 0.814)
Er (0.395, 0.814, 0.395)
Er (0.559, 0.559, 0.941)
Er (0.559, 0.941, 0.559)
Er (0.559, 0.941, 0.941)
Er (0.814, 0.186, 0.186)
Er (0.814, 0.186, 0.814)
Er (0.814, 0.395, 0.395)
Er (0.814, 0.814, 0.186)
Er (0.941, 0.559, 0.559)
Er (0.941, 0.559, 0.941)
Er (0.941, 0.941, 0.559)
Zn (0.171, 0.171, 0.171)
Zn (0.171, 0.171, 0.487)
Zn (0.171, 0.487, 0.171)
Zn (0.487, 0.171, 0.171)
Rh (0.182, 0.606, 0.606)
Rh (0.606, 0.182, 0.606)
Rh (0.606, 0.606, 0.182)
Rh (0.606, 0.606, 0.606)

Principal peaks in the range 2θ from 10° to 90°, sorted by position:
29.3 deg, I = 35
33.1 deg, I = 49
35.1 deg, I = 100
38.4 deg, I = 35
59.1 deg, I = 45
60.4 deg, I = 15

[4]
Simulated XRD peak list of Tb5Sm6Dy2 for Cu Ka, from the GGA-PBE geometry in Alexandria.
Neutral-atom scattering factors, no anomalous dispersion.

Atomic structure:
a b c (Å): 11.700 20.490 3.610
angles (deg): 90.00 90.00 90.00
Element x y z (fractional)
Tb (0.000, 0.000, 0.000)
Tb (0.090, 0.274, 0.000)
Tb (0.198, 0.553, 0.000)
Tb (0.302, 0.053, 0.000)
Tb (0.410, 0.774, 0.000)
Tb (0.500, 0.500, 0.000)
Tb (0.590, 0.226, 0.000)
Tb (0.698, 0.947, 0.000)
Tb (0.802, 0.447, 0.000)
Tb (0.910, 0.726, 0.000)
Sm (0.060, 0.420, 0.500)
Sm (0.082, 0.132, 0.500)
Sm (0.174, 0.865, 0.000)
Sm (0.326, 0.365, 0.000)
Sm (0.418, 0.632, 0.500)
Sm (0.440, 0.920, 0.500)
Sm (0.560, 0.080, 0.500)
Sm (0.582, 0.368, 0.500)
Sm (0.674, 0.635, 0.000)
Sm (0.826, 0.135, 0.000)
Sm (0.918, 0.868, 0.500)
Sm (0.940, 0.580, 0.500)
Dy (0.168, 0.711, 0.500)
Dy (0.332, 0.211, 0.500)
Dy (0.668, 0.789, 0.500)
Dy (0.832, 0.289, 0.500)

Principal peaks in the range 2θ from 10° to 90°, sorted by position:
30.9 deg, I = 59
31.3 deg, I = 56
31.5 deg, I = 63
31.9 deg, I = 100
34.0 deg, I = 34
36.4 deg, I = 32

[5]
Simulated XRD peak list of Rb2HfTlI6 for Cu Ka, from the GGA-PBE geometry in Alexandria.
Neutral-atom scattering factors, no anomalous dispersion.

Atomic structure:
a b c (Å): 17.576 17.576 17.576
angles (deg): 27.50 27.50 27.50
Element x y z (fractional)
Rb (0.142, 0.142, 0.142)
Rb (0.310, 0.310, 0.310)
Rb (0.690, 0.690, 0.690)
Rb (0.858, 0.858, 0.858)
Hf (0.000, 0.000, 0.000)
Hf (0.500, 0.500, 0.500)
Tl (0.417, 0.417, 0.417)
Tl (0.583, 0.583, 0.583)
I (0.139, 0.630, 0.630)
I (0.196, 0.196, 0.709)
I (0.196, 0.709, 0.196)
I (0.291, 0.804, 0.804)
I (0.370, 0.370, 0.861)
I (0.370, 0.861, 0.370)
I (0.630, 0.139, 0.630)
I (0.630, 0.630, 0.139)
I (0.709, 0.196, 0.196)
I (0.804, 0.291, 0.804)
I (0.804, 0.804, 0.291)
I (0.861, 0.370, 0.370)

Principal peaks in the range 2θ from 10° to 90°, sorted by position:
10.5 deg, I = 33
12.7 deg, I = 69
27.6 deg, I = 100
30.1 deg, I = 49
31.4 deg, I = 49
43.3 deg, I = 52

[6]
Simulated XRD peak list of SrCuBr4 for Cu Ka, from the GGA-PBE geometry in Alexandria.
Neutral-atom scattering factors, no anomalous dispersion.

Atomic structure:
a b c (Å): 9.007 9.007 9.007
angles (deg): 134.21 134.21 66.76
Element x y z (fractional)
Sr (0.375, 0.125, 0.250)
Sr (0.625, 0.875, 0.750)
Cu (0.125, 0.375, 0.750)
Cu (0.875, 0.625, 0.250)
Br (0.042, 0.181, 0.327)
Br (0.215, 0.542, 0.362)
Br (0.319, 0.147, 0.862)
Br (0.353, 0.715, 0.173)
Br (0.647, 0.285, 0.827)
Br (0.681, 0.853, 0.138)
Br (0.785, 0.458, 0.638)
Br (0.958, 0.819, 0.673)

Principal peaks in the range 2θ from 10° to 90°, sorted by position:
21.5 deg, I = 70
29.1 deg, I = 76
29.8 deg, I = 100
35.0 deg, I = 43
36.3 deg, I = 33
42.5 deg, I = 48